Entry 1:
CdTcNO: theoretical powder diffraction line list (Cu Kα, 1.54184 Å), based on a structure optimized by DFT (GGA-PBE).

Atomic structure:
a b c (Å): 2.940 5.750 6.737
angles (deg): 90.00 90.00 90.00
Space group Pmc2_1 (No. 26)
Unique sites:
Cd  0.000  0.176  0.000 [2 per cell]
Tc  0.500  0.401  0.550 [2 per cell]
N  0.500  0.406  0.287 [2 per cell]
O  0.000  0.173  0.640 [2 per cell]

Most intense lines, 10° ≤ 2θ ≤ 80°, by angle:
3.369 Å, 2θ 26.5, I = 99
2.644 Å, 2θ 33.9, I = 86
2.618 Å, 2θ 34.3, I = 62
2.440 Å, 2θ 36.8, I = 100
2.067 Å, 2θ 43.8, I = 37
1.704 Å, 2θ 53.8, I = 33



Entry 2:
CdTeNO: theoretical powder diffraction line list (Cu Kα, 1.54184 Å), based on a structure optimized by DFT (GGA-PBE).

Atomic structure:
a b c (Å): 6.466 6.711 6.168
angles (deg): 90.00 90.00 90.00
Space group Pca2_1 (No. 29)
Unique sites:
Cd  0.183  0.156  0.000 [4 per cell]
Te  0.206  0.696  0.169 [4 per cell]
N  0.028  0.110  0.684 [4 per cell]
O  0.076  0.440  0.182 [4 per cell]

Most intense lines, 10° ≤ 2θ ≤ 80°, by angle:
3.356 Å, 2θ 26.6, I = 27
3.233 Å, 2θ 27.6, I = 40
3.084 Å, 2θ 29.0, I = 25
2.978 Å, 2θ 30.0, I = 73
2.864 Å, 2θ 31.2, I = 44
2.571 Å, 2θ 34.9, I = 100



Entry 3:
ZrCdNO: theoretical powder diffraction line list (Cu Kα, 1.54184 Å), based on a structure optimized by DFT (GGA-PBE).

Atomic structure:
a b c (Å): 7.836 7.373 4.388
angles (deg): 90.00 90.00 90.00
Space group Pbcm (No. 57)
Unique sites:
Zr  0.117  0.096  0.250 [4 per cell]
Cd  0.361  0.620  0.250 [4 per cell]
N  0.077  0.114  0.750 [4 per cell]
O  0.363  0.035  0.250 [4 per cell]

Most intense lines, 10° ≤ 2θ ≤ 80°, by angle:
3.460 Å, 2θ 25.7, I = 81
2.823 Å, 2θ 31.7, I = 100
2.717 Å, 2θ 33.0, I = 85
2.194 Å, 2θ 41.1, I = 35
2.082 Å, 2θ 43.5, I = 34
1.609 Å, 2θ 57.2, I = 35



Entry 4:
CdPdPt2N6: theoretical powder diffraction line list (Cu Kα, 1.54184 Å), based on a structure optimized by DFT (GGA-PBE).

Atomic structure:
a b c (Å): 6.557 11.238 3.232
angles (deg): 90.00 90.00 90.00
Space group Cmmm (No. 65)
Unique sites:
Cd  0.000  0.000  0.000 [2 per cell]
Pd  0.000  0.500  0.000 [2 per cell]
Pt  0.250  0.250  0.500 [4 per cell]
N  0.000  0.137  0.500 [4 per cell]
N  0.102  0.328  0.000 [8 per cell]

Most intense lines, 10° ≤ 2θ ≤ 80°, by angle:
2.832 Å, 2θ 31.6, I = 73
2.804 Å, 2θ 31.9, I = 100
2.301 Å, 2θ 39.1, I = 41
1.780 Å, 2θ 51.3, I = 42
1.415 Å, 2θ 66.0, I = 29
1.404 Å, 2θ 66.6, I = 22



Entry 5:
Ta4CdSbN2: theoretical powder diffraction line list (Cu Kα, 1.54184 Å), based on a structure optimized by DFT (GGA-PBE).

Atomic structure:
a b c (Å): 3.2175 3.2175 13.8320
angles (deg): 90.00 90.00 120.00
Space group P-6m2 (No. 187)
Unique sites:
Ta  0.0000  0.0000  0.1631 [2 per cell]
Ta  0.3333  0.6667  0.3272 [2 per cell]
Cd  0.0000  0.0000  0.5000 [1 per cell]
Sb  0.3333  0.6667  0.0000 [1 per cell]
N  0.6667  0.3333  0.2456 [2 per cell]

Most intense lines, 10° ≤ 2θ ≤ 80°, by angle:
2.786 Å, 2θ 32.1, I = 23
2.385 Å, 2θ 37.7, I = 100
2.305 Å, 2θ 39.1, I = 19
1.609 Å, 2θ 57.3, I = 21
1.334 Å, 2θ 70.6, I = 16
1.319 Å, 2θ 71.5, I = 19



Entry 6:
Sc2Ta4Cd3N3: theoretical powder diffraction line list (Cu Kα, 1.54184 Å), based on a structure optimized by DFT (GGA-PBE).

Atomic structure:
a b c (Å): 9.610 5.575 14.539
angles (deg): 90.00 102.65 90.00
Space group C2/c (No. 15)
Unique sites:
Sc  0.049  0.080  0.406 [8 per cell]
Ta  0.108  0.414  0.575 [8 per cell]
Ta  0.226  0.418  0.925 [8 per cell]
Cd  0.000  0.473  0.250 [4 per cell]
Cd  0.196  0.114  0.751 [8 per cell]
N  0.080  0.241  0.000 [8 per cell]
N  0.250  0.250  0.500 [4 per cell]

Most intense lines, 10° ≤ 2θ ≤ 80°, by angle:
4.792 Å, 2θ 18.5, I = 22
2.777 Å, 2θ 32.2, I = 22
2.401 Å, 2θ 37.4, I = 51
2.395 Å, 2θ 37.6, I = 100
2.364 Å, 2θ 38.1, I = 31
1.607 Å, 2θ 57.3, I = 19



What did the third record say?
ZrCdNO: theoretical powder diffraction line list (Cu Kα, 1.54184 Å), based on a structure optimized by DFT (GGA-PBE).

Atomic structure:
a b c (Å): 7.836 7.373 4.388
angles (deg): 90.00 90.00 90.00
Space group Pbcm (No. 57)
Unique sites:
Zr  0.117  0.096  0.250 [4 per cell]
Cd  0.361  0.620  0.250 [4 per cell]
N  0.077  0.114  0.750 [4 per cell]
O  0.363  0.035  0.250 [4 per cell]

Most intense lines, 10° ≤ 2θ ≤ 80°, by angle:
3.460 Å, 2θ 25.7, I = 81
2.823 Å, 2θ 31.7, I = 100
2.717 Å, 2θ 33.0, I = 85
2.194 Å, 2θ 41.1, I = 35
2.082 Å, 2θ 43.5, I = 34
1.609 Å, 2θ 57.2, I = 35